(1)
For Zr2Al3C4, DFT lattice parameters and positions (PBE) gives the calculated PXRD pattern in this record (CuKα).
Neutral-atom scattering factors, no anomalous dispersion.

The 6 most intense peaks (2θ from 10° to 90°), in order of rising 2θ:
2θ (°)	I_rel	h k l
33.4	100	1 0 3
36.9	88	1 0 5
39.1	52	1 0 6
41.6	41	1 0 7
55.6	50	1 1 0
69.8	31	1 1 10

Cell and atoms:
Unit cell a=3.3035 b=3.3035 c=23.2926 alpha=90.00 beta=90.00 gamma=120.00
Space group P-3m1 (No. 164)
Inequivalent atoms, fractional coordinates:
Zr: 0.3333 0.6667 0.0556 x2
Zr: 0.3333 0.6667 0.4416 x2
Al: 0.0000 0.0000 0.1538 x2
Al: 0.0000 0.0000 0.3409 x2
Al: 0.3333 0.6667 0.7507 x2
C: 0.0000 0.0000 0.0000 x1
C: 0.0000 0.0000 0.5000 x1
C: 0.3333 0.6667 0.2666 x2
C: 0.3333 0.6667 0.6203 x2
C: 0.3333 0.6667 0.8728 x2


(2)
For Na4MgInP3O12, DFT lattice parameters and positions (PBE) gives the calculated PXRD pattern in this record (CuKα).
Neutral-atom scattering factors, no anomalous dispersion.

The 6 most intense peaks (2θ from 10° to 90°), in order of rising 2θ:
2θ (°)	I_rel	h k l
13.8	57	0 1 2
19.6	48	1 0 4
22.9	28	1 1 3
31.2	100	1 1 6
34.0	55	3 0 0
46.8	39	2 2 6

Cell and atoms:
Unit cell a=9.1325 b=9.1325 c=22.0630 alpha=90.00 beta=90.00 gamma=120.00
Space group R3c (No. 161, hexagonal axes)
Inequivalent atoms, fractional coordinates:
Na: 0.0000 0.0000 0.0000 x6
Na: 0.0368 0.3400 0.0849 x18
Mg: 0.0000 0.0000 0.3518 x6
In: 0.0000 0.0000 0.1578 x6
P: 0.9995 0.3009 0.2547 x18
O: 0.0161 0.1880 0.9162 x18
O: 0.0330 0.2282 0.1956 x18
O: 0.1447 0.4558 0.9763 x18
O: 0.1597 0.4814 0.2581 x18


(3)
For UAl8Cu4, DFT lattice parameters and positions (PBE) gives the calculated PXRD pattern in this record (CuKα).
Neutral-atom scattering factors, no anomalous dispersion.

The 6 most intense peaks (2θ from 10° to 90°), in order of rising 2θ:
2θ (°)	I_rel	h k l
14.2	53	1 1 0
20.2	47	1 0 1
28.6	98	2 2 0
35.2	35	3 0 1
40.9	100	4 0 0
41.0	70	2 0 2

Cell and atoms:
Unit cell a=8.838 b=8.838 c=5.070 alpha=90.00 beta=90.00 gamma=90.00
Space group I4/mmm (No. 139)
Inequivalent atoms, fractional coordinates:
U: 0.000 0.000 0.000 x2
Al: 0.000 0.217 0.500 x8
Al: 0.000 0.346 0.000 x8
Cu: 0.250 0.250 0.250 x8


(4)
For H6PbCI3N, DFT lattice parameters and positions (PBE) gives the calculated PXRD pattern in this record (CuKα).
Neutral-atom scattering factors, no anomalous dispersion.

The 6 most intense peaks (2θ from 10° to 90°), in order of rising 2θ:
2θ (°)	I_rel	h k l
13.6	69	0 0 2
14.1	100	0 2 0
27.3	58	0 0 4
28.5	63	4 0 0
31.9	69	4 2 0
42.7	27	4 2 4

Cell and atoms:
Unit cell a=12.534 b=12.524 c=13.055 alpha=90.00 beta=90.61 gamma=90.00
Space group Cc (No. 9)
Inequivalent atoms, fractional coordinates:
H: 0.000 0.112 0.500 x4
H: 0.063 0.251 0.382 x4
H: 0.065 0.170 0.598 x4
H: 0.074 0.259 0.882 x4
H: 0.129 0.329 0.990 x4
H: 0.132 0.312 0.488 x4
H: 0.133 0.186 0.986 x4
H: 0.134 0.116 0.502 x4
H: 0.433 0.180 0.499 x4
H: 0.437 0.314 0.495 x4
H: 0.489 0.193 0.986 x4
H: 0.489 0.249 0.595 x4
Pb: 0.311 0.496 0.726 x4
Pb: 0.319 0.009 0.225 x4
C: 0.062 0.265 0.464 x4
C: 0.087 0.257 0.965 x4
I: 0.065 0.443 0.217 x4
I: 0.066 0.064 0.220 x4
I: 0.262 0.243 0.716 x4
I: 0.313 0.008 0.473 x4
I: 0.326 0.495 0.474 x4
I: 0.386 0.257 0.225 x4
N: 0.066 0.160 0.519 x4
N: 0.480 0.247 0.516 x4


(5)
For Ba2InBrO3, DFT lattice parameters and positions (PBE) gives the calculated PXRD pattern in this record (CuKα).
Neutral-atom scattering factors, no anomalous dispersion.

The 6 most intense peaks (2θ from 10° to 90°), in order of rising 2θ:
2θ (°)	I_rel	h k l
26.8	18	1 0 3
29.3	86	1 1 0
30.8	100	1 0 4
35.3	18	1 0 5
41.9	42	2 0 0
52.9	43	2 1 4

Cell and atoms:
Unit cell a=4.314 b=4.314 c=15.733 alpha=90.00 beta=90.00 gamma=90.00
Space group P4/nmm (No. 129, origin choice 2)
Inequivalent atoms, fractional coordinates:
Ba: 0.250 0.250 0.092 x2
Ba: 0.250 0.250 0.340 x2
In: 0.250 0.250 0.793 x2
Br: 0.250 0.250 0.576 x2
O: 0.250 0.250 0.928 x2
O: 0.250 0.750 0.230 x4


(6)
For SnP3O9, DFT lattice parameters and positions (PBE) gives the calculated PXRD pattern in this record (CuKα).
Neutral-atom scattering factors, no anomalous dispersion.

The 6 most intense peaks (2θ from 10° to 90°), in order of rising 2θ:
2θ (°)	I_rel	h k l
17.1	91	1 1 1
21.5	64	0 1 2
22.4	100	2 0 1
24.6	44	1 2 1
32.2	61	1 3 0
33.6	40	3 1 1

Cell and atoms:
Unit cell a=8.786 b=8.792 c=9.343 alpha=90.00 beta=90.00 gamma=90.00
Space group P2_12_12_1 (No. 19)
Inequivalent atoms, fractional coordinates:
Sn: 0.154 0.129 0.107 x4
P: 0.033 0.319 0.810 x4
P: 0.194 0.806 0.927 x4
P: 0.195 0.474 0.307 x4
O: 0.034 0.772 0.845 x4
O: 0.092 0.878 0.595 x4
O: 0.097 0.600 0.364 x4
O: 0.127 0.189 0.867 x4
O: 0.140 0.380 0.183 x4
O: 0.142 0.457 0.761 x4
O: 0.159 0.868 0.073 x4
O: 0.199 0.099 0.336 x4
O: 0.241 0.365 0.442 x4


(7)
For URh3, DFT lattice parameters and positions (PBE) gives the calculated PXRD pattern in this record (CuKα).
Neutral-atom scattering factors, no anomalous dispersion.

The 6 most intense peaks (2θ from 10° to 90°), in order of rising 2θ:
2θ (°)	I_rel	h k l
22.1	15	1 0 0
31.4	13	1 1 0
38.7	100	1 1 1
45.0	49	2 0 0
65.5	32	2 2 0
78.7	38	3 1 1

Cell and atoms:
Unit cell a=4.031 b=4.031 c=4.031 alpha=90.00 beta=90.00 gamma=90.00
Space group Pm-3m (No. 221)
Inequivalent atoms, fractional coordinates:
U: 0.000 0.000 0.000 x1
Rh: 0.000 0.500 0.500 x3